Zn4InAg: theoretical X-ray powder pattern (Cu Ka), based on a DFT-relaxed cell (PBE, Alexandria).
Neutral-atom scattering factors, no anomalous dispersion.

The 7 most intense peaks (2θ = 10–80°), low angle first:
2θ 20.65, I 1; 2θ 34.03, I 45; 2θ 40.14, I 100; 2θ 42.00, I 26; 2θ 60.91, I 16; 2θ 65.04, I 30; 2θ 71.65, I 24

Crystal structure
abc: 5.2688 5.2688 5.2688
angles: 60.00 60.00 60.00
Fractional positions:
1 Zn 0.3758 0.3758 0.3758
2 Zn 0.3758 0.3758 0.8725
3 Zn 0.3758 0.8725 0.3758
4 Zn 0.8725 0.3758 0.3758
5 In 0.0000 0.0000 0.0000
6 Ag 0.7500 0.7500 0.7500

=====

CsAgSn3: theoretical X-ray powder pattern (Cu Ka), based on a DFT-relaxed cell (PBE, Alexandria).
Neutral-atom scattering factors, no anomalous dispersion.

The 10 most intense peaks (2θ = 10–80°), low angle first:
2θ 11.21, I 100; 2θ 20.74, I 34; 2θ 25.92, I 42; 2θ 26.10, I 46; 2θ 29.95, I 25; 2θ 30.40, I 39; 2θ 31.80, I 35; 2θ 32.23, I 26; 2θ 39.26, I 23; 2θ 39.81, I 24

Crystal structure
abc: 6.8370 7.8929 9.3827
angles: 90.00 131.79 90.00
Fractional positions:
1 Cs 0.0000 0.1101 0.0000
2 Cs 0.0000 0.8899 0.5000
3 Ag 0.4796 0.4864 0.8212
4 Ag 0.4796 0.5136 0.3212
5 Sn 0.2908 0.3388 0.4795
6 Sn 0.2908 0.6612 0.9795
7 Sn 0.6869 0.3414 0.1839
8 Sn 0.6869 0.6586 0.6839
9 Sn 0.9680 0.3613 0.6366
10 Sn 0.9680 0.6387 0.1366

=====

Tm3Cu4Si2: theoretical X-ray powder pattern (Cu Ka), based on a DFT-relaxed cell (PBE, Alexandria).
Neutral-atom scattering factors, no anomalous dispersion.

The 10 most intense peaks (2θ = 10–80°), low angle first:
2θ 24.26, I 17; 2θ 24.70, I 31; 2θ 35.28, I 50; 2θ 35.60, I 100; 2θ 42.95, I 45; 2θ 43.74, I 22; 2θ 51.81, I 13; 2θ 56.53, I 13; 2θ 57.40, I 24; 2θ 69.50, I 21

Crystal structure
abc: 5.4993 5.4993 8.1387
angles: 108.89 108.89 44.21
Fractional positions:
1 Tm 0.0000 0.0000 0.0000
2 Tm 0.3377 0.3377 0.3314
3 Tm 0.6623 0.6623 0.6686
4 Cu 0.0636 0.0636 0.3929
5 Cu 0.2840 0.2840 0.9432
6 Cu 0.7160 0.7160 0.0568
7 Cu 0.9364 0.9364 0.6071
8 Si 0.3865 0.3865 0.7196
9 Si 0.6135 0.6135 0.2804

=====

Er3CuAu: theoretical X-ray powder pattern (Cu Ka), based on a DFT-relaxed cell (PBE, Alexandria).
Neutral-atom scattering factors, no anomalous dispersion.

The 10 most intense peaks (2θ = 10–80°), low angle first:
2θ 26.95, I 35; 2θ 30.18, I 60; 2θ 31.75, I 16; 2θ 32.78, I 28; 2θ 35.85, I 100; 2θ 38.56, I 31; 2θ 45.53, I 16; 2θ 47.41, I 22; 2θ 51.66, I 16; 2θ 61.00, I 17

Crystal structure
abc: 3.8350 7.0771 9.3233
angles: 90.00 90.00 90.00
Fractional positions:
1 Er 0.2500 0.0011 0.1795
2 Er 0.2500 0.2500 0.5624
3 Er 0.2500 0.4989 0.1795
4 Er 0.7500 0.5011 0.8205
5 Er 0.7500 0.7500 0.4376
6 Er 0.7500 0.9989 0.8205
7 Cu 0.2500 0.2500 0.9331
8 Cu 0.7500 0.7500 0.0669
9 Au 0.2500 0.7500 0.6685
10 Au 0.7500 0.2500 0.3315

=====

LiCa5Zn: theoretical X-ray powder pattern (Cu Ka), based on a DFT-relaxed cell (PBE, Alexandria).
Neutral-atom scattering factors, no anomalous dispersion.

The 10 most intense peaks (2θ = 10–80°), low angle first:
2θ 14.29, I 100; 2θ 15.54, I 45; 2θ 17.82, I 49; 2θ 26.06, I 57; 2θ 28.47, I 87; 2θ 28.81, I 70; 2θ 29.39, I 36; 2θ 29.68, I 37; 2θ 29.97, I 80; 2θ 47.94, I 35

Crystal structure
abc: 7.1609 7.1609 12.0933
angles: 106.63 106.63 61.59
Fractional positions:
1 Li 0.0505 0.9495 0.7500
2 Li 0.9495 0.0505 0.2500
3 Ca 0.0283 0.7181 0.4640
4 Ca 0.1077 0.4476 0.8600
5 Ca 0.2819 0.9717 0.0360
6 Ca 0.4476 0.1077 0.3600
7 Ca 0.4561 0.5439 0.2500
8 Ca 0.5439 0.4561 0.7500
9 Ca 0.5524 0.8923 0.6400
10 Ca 0.7181 0.0283 0.9640
11 Ca 0.8923 0.5524 0.1400
12 Ca 0.9717 0.2819 0.5360
13 Zn 0.5000 0.5000 0.0000
14 Zn 0.5000 0.5000 0.5000

=====

LaPr5Y2Sc: theoretical X-ray powder pattern (Cu Ka), based on a DFT-relaxed cell (PBE, Alexandria).
Neutral-atom scattering factors, no anomalous dispersion.

The 10 most intense peaks (2θ = 10–80°), low angle first:
2θ 26.37, I 21; 2θ 27.57, I 17; 2θ 30.01, I 36; 2θ 31.11, I 45; 2θ 31.77, I 100; 2θ 33.84, I 12; 2θ 42.05, I 11; 2θ 50.78, I 10; 2θ 55.77, I 20; 2θ 60.76, I 12

Crystal structure
abc: 10.5894 10.5894 10.5962
angles: 90.00 90.00 148.50
Fractional positions:
1 La 0.0892 0.9108 0.5000
2 La 0.9108 0.0892 0.0000
3 Pr 0.0130 0.9870 0.7836
4 Pr 0.1250 0.8750 0.0595
5 Pr 0.2018 0.7982 0.7494
6 Pr 0.2243 0.7757 0.3645
7 Pr 0.4819 0.5181 0.0587
8 Pr 0.5181 0.4819 0.5587
9 Pr 0.7757 0.2243 0.8645
10 Pr 0.7982 0.2018 0.2494
11 Pr 0.8750 0.1250 0.5595
12 Pr 0.9870 0.0130 0.2836
13 Y 0.3829 0.6171 0.7761
14 Y 0.3887 0.6113 0.3509
15 Y 0.6113 0.3887 0.8509
16 Y 0.6171 0.3829 0.2761
17 Sc 0.3045 0.6955 0.0558
18 Sc 0.6955 0.3045 0.5558

=====

Er5Hg3: theoretical X-ray powder pattern (Cu Ka), based on a DFT-relaxed cell (PBE, Alexandria).
Neutral-atom scattering factors, no anomalous dispersion.

The 10 most intense peaks (2θ = 10–80°), low angle first:
2θ 33.08, I 100; 2θ 34.93, I 46; 2θ 41.59, I 3; 2θ 44.61, I 9; 2θ 50.23, I 17; 2θ 57.87, I 17; 2θ 61.47, I 34; 2θ 69.41, I 10; 2θ 73.77, I 5; 2θ 74.83, I 6

Crystal structure
abc: 3.6329 3.6329 16.2503
angles: 90.00 90.00 90.00
Fractional positions:
1 Er 0.0000 0.0000 0.0000
2 Er 0.0000 0.0000 0.2320
3 Er 0.0000 0.0000 0.7680
4 Er 0.5000 0.5000 0.3815
5 Er 0.5000 0.5000 0.6185
6 Hg 0.0000 0.0000 0.5000
7 Hg 0.5000 0.5000 0.1161
8 Hg 0.5000 0.5000 0.8839

=====

Cu5Sn2Se7: theoretical X-ray powder pattern (Cu Ka), based on a DFT-relaxed cell (PBE, Alexandria).
Neutral-atom scattering factors, no anomalous dispersion.

The 10 most intense peaks (2θ = 10–80°), low angle first:
2θ 26.95, I 100; 2θ 29.10, I 1; 2θ 44.74, I 72; 2θ 52.98, I 29; 2θ 53.07, I 14; 2θ 65.02, I 4; 2θ 65.11, I 4; 2θ 65.24, I 4; 2θ 71.78, I 8; 2θ 71.86, I 8

Crystal structure
abc: 7.0197 7.0197 9.0640
angles: 97.35 97.35 48.09
Fractional positions:
1 Cu 0.0000 0.0000 0.0000
2 Cu 0.1375 0.1546 0.4261
3 Cu 0.2833 0.2897 0.8578
4 Cu 0.7103 0.7167 0.1422
5 Cu 0.8454 0.8625 0.5739
6 Sn 0.4345 0.4171 0.2756
7 Sn 0.5829 0.5655 0.7244
8 Se 0.0824 0.6215 0.0572
9 Se 0.2187 0.7813 0.5000
10 Se 0.3785 0.9176 0.9428
11 Se 0.5411 0.0116 0.3612
12 Se 0.6834 0.1541 0.7919
13 Se 0.8459 0.3166 0.2081
14 Se 0.9884 0.4589 0.6388